# V3Mo8
Simulated X-ray powder pattern, copper Kα. Input: DFT lattice parameters and positions (PBE).

The 10 most intense peaks (15 to 90 degrees two-theta), by angle:
2θ (°)  d [Å]  I/Imax
21.38  4.155  2
30.16  2.963  1
40.92  2.206  100
59.15  1.562  5
59.30  1.558  11
74.39  1.275  5
74.52  1.273  21
74.62  1.272  5
88.62  1.104  5
88.79  1.102  5

Cell and atoms:
Cell: 9.863 3.118 11.243 Å, 90.00 105.07 90.00°
Space group C2/m (No. 12)
One atom of each set of equivalent atoms:
V (0.000, 0.000, 0.000) [2 per cell]
V (0.090, 0.000, 0.635) [4 per cell]
Mo (0.046, 0.500, 0.818) [4 per cell]
Mo (0.135, 0.500, 0.456) [4 per cell]
Mo (0.182, 0.000, 0.274) [4 per cell]
Mo (0.227, 0.500, 0.091) [4 per cell]